No. 1
Structure and simulated X-ray diffraction stick pattern of Ti4ReGe (a GGA-PBE-relaxed structure; Cu Kα X-rays).

Main lines, sorted by position (2θ = 10–90°):
hkl 0 0 3, 12.6 deg, rel. 21.5; hkl 1 0 1, 24.3 deg, rel. 13.0; hkl 0 1 2, 25.4 deg, rel. 86.6; hkl 1 1 0, 42.1 deg, rel. 100.0; hkl 1 0 10, 49.8 deg, rel. 31.5; hkl 2 0 2, 49.9 deg, rel. 10.6; hkl 2 0 8, 61.0 deg, rel. 15.8; hkl 0 2 10, 67.1 deg, rel. 8.5; hkl 1 2 2, 67.3 deg, rel. 8.6; hkl 3 0 0, 77.0 deg, rel. 23.6

Atomic structure:
abc: 4.2892 4.2892 21.0741
angles: 90.00 90.00 120.00
Space group R-3m (No. 166, hexagonal axes)
Asymmetric unit:
Ti 0.0000 0.0000 0.1209 [6 per cell]
Ti 0.0000 0.0000 0.3720 [6 per cell]
Re 0.0000 0.0000 0.0000 [3 per cell]
Ge 0.0000 0.0000 0.5000 [3 per cell]

No. 2
Structure and simulated X-ray diffraction stick pattern of Ca3In2Cu7 (a GGA-PBE-relaxed structure; Cu Kα X-rays).

Main lines, sorted by position (2θ = 10–90°):
hkl 1 0 1, 19.1 deg, rel. 47.9; hkl 1 1 0, 32.9 deg, rel. 24.5; hkl 1 1 6, 39.1 deg, rel. 100.0; hkl 0 2 4, 40.7 deg, rel. 15.5; hkl 0 0 12, 41.8 deg, rel. 24.7; hkl 2 0 5, 42.1 deg, rel. 45.9; hkl 0 1 11, 42.9 deg, rel. 21.2; hkl 3 0 6, 63.0 deg, rel. 22.8; hkl 2 2 0, 69.0 deg, rel. 21.1; hkl 2 2 12, 84.1 deg, rel. 17.1

Atomic structure:
abc: 5.4409 5.4409 25.9603
angles: 90.00 90.00 120.00
Space group R-3m (No. 166, hexagonal axes)
Asymmetric unit:
Ca 0.0000 0.0000 0.0000 [3 per cell]
Ca 0.0000 0.0000 0.1424 [6 per cell]
In 0.0000 0.0000 0.3305 [6 per cell]
Cu 0.0000 0.0000 0.5000 [3 per cell]
Cu 0.0068 0.5034 0.0878 [18 per cell]